# 1
Structure and calculated powder diffraction line list of HgPtSe2 (a structure optimized by DFT (PBE); Cu Ka).

Largest 10 diffraction maxima, in order of falling intensity, 10 to 90 degrees two-theta:
two_theta  d/Å  Rel. int.  index
19.53  4.546  100  0 0 4
29.43  3.035  88  1 1 2
40.90  2.207  68  1 1 6
31.47  2.843  45  1 1 3
48.86  1.864  45  3 1 1
31.15  2.871  42  2 0 3
44.61  2.031  26  2 0 7
27.81  3.208  25  2 0 1
58.27  1.583  24  1 1 10
49.23  1.851  21  0 2 0

Cell and atoms:
```
data_HgPtSe2
_chemical_formula_sum 'Hg4 Pt4 Se8'
_cell_length_a 6.519
_cell_length_b 3.702
_cell_length_c 18.184
_cell_angle_alpha 90.00
_cell_angle_beta 90.00
_cell_angle_gamma 90.00
_space_group_name_H-M_alt 'P n m a'
_space_group_IT_number 62
_space_group_name_Hall '-P 2ac 2n'
loop_
_atom_site_label
_atom_site_fract_x
_atom_site_fract_y
_atom_site_fract_z
Hg1 0.092 0.250 0.123
Pt1 0.095 0.750 0.380
Se1 0.063 0.750 0.690
Se2 0.245 0.750 0.949
```


# 2
Structure and calculated powder diffraction line list of ThMg5Cd2 (a structure optimized by DFT (PBE); Cu Ka).

Largest 10 diffraction maxima, in order of falling intensity, 10 to 90 degrees two-theta:
two_theta  d/Å  Rel. int.  index
32.01  2.796  100  1 1 2
11.91  7.434  91  0 1 1
18.52  4.792  75  0 2 0
35.79  2.509  68  0 2 4
41.89  2.157  50  1 3 2
33.40  2.683  48  1 2 1
37.54  2.396  28  0 4 0
35.11  2.556  24  1 0 3
24.50  3.633  23  0 1 3
30.36  2.944  23  0 0 4

Cell and atoms:
```
data_ThMg5Cd2
_chemical_formula_sum 'Th2 Mg10 Cd4'
_cell_length_a 3.367
_cell_length_b 9.584
_cell_length_c 11.778
_cell_angle_alpha 90.00
_cell_angle_beta 90.00
_cell_angle_gamma 90.00
_space_group_name_H-M_alt 'I m m m'
_space_group_IT_number 71
_space_group_name_Hall '-I 2 2'
loop_
_atom_site_label
_atom_site_fract_x
_atom_site_fract_y
_atom_site_fract_z
Th1 0.000 0.000 0.000
Mg1 0.000 0.223 0.366
Mg2 0.000 0.500 0.000
Cd1 0.000 0.500 0.251
```


# 3
Structure and calculated powder diffraction line list of DyThNiRh (a structure optimized by DFT (PBE); Cu Ka).

Largest 10 diffraction maxima, in order of falling intensity, 10 to 90 degrees two-theta:
two_theta  d/Å  Rel. int.  index
32.43  2.761  100  1 1 1
40.98  2.203  50  1 1 3
34.72  2.584  31  0 0 4
35.37  2.538  29  0 1 3
26.49  3.365  29  1 0 2
40.70  2.217  29  2 0 0
48.51  1.877  21  0 2 0
54.55  1.682  17  2 0 4
55.00  1.670  17  2 1 3
40.41  2.232  15  1 0 4

Cell and atoms:
```
data_DyThNiRh
_chemical_formula_sum 'Dy2 Th2 Ni2 Rh2'
_cell_length_a 4.433
_cell_length_b 3.753
_cell_length_c 10.334
_cell_angle_alpha 90.00
_cell_angle_beta 90.00
_cell_angle_gamma 90.00
_space_group_name_H-M_alt 'A m m 2'
_space_group_IT_number 38
_space_group_name_Hall 'A 2 -2'
loop_
_atom_site_label
_atom_site_fract_x
_atom_site_fract_y
_atom_site_fract_z
Dy1 0.000 0.000 0.000
Th1 0.500 0.000 0.276
Ni1 0.000 0.000 0.722
Rh1 0.500 0.000 0.550
```


# 4
Structure and calculated powder diffraction line list of Sc4Si23 (a structure optimized by DFT (PBE); Cu Ka).

Largest 10 diffraction maxima, in order of falling intensity, 10 to 90 degrees two-theta:
two_theta  d/Å  Rel. int.  index
33.30  2.690  100  3 2 1
56.34  1.633  40  5 3 2
32.06  2.792  37  3 2 0
53.05  1.726  36  5 3 0
30.77  2.906  31  2 2 2
54.71  1.678  19  6 0 0
36.81  2.441  15  4 1 0
35.68  2.517  13  4 0 0
53.88  1.702  12  5 3 1
37.92  2.373  8  3 3 0

Cell and atoms:
```
data_Sc4Si23
_chemical_formula_sum 'Sc8 Si46'
_cell_length_a 10.066
_cell_length_b 10.066
_cell_length_c 10.066
_cell_angle_alpha 90.00
_cell_angle_beta 90.00
_cell_angle_gamma 90.00
_space_group_name_H-M_alt 'P m -3 n'
_space_group_IT_number 223
_space_group_name_Hall '-P 4n 2 3'
loop_
_atom_site_label
_atom_site_fract_x
_atom_site_fract_y
_atom_site_fract_z
Sc1 0.000 0.000 0.000
Sc2 0.000 0.250 0.500
Si1 0.000 0.310 0.116
Si2 0.000 0.500 0.250
Si3 0.183 0.183 0.183
```


# 5
Structure and calculated powder diffraction line list of KRb2Li2F7 (a structure optimized by DFT (PBE); Cu Ka).

Largest 10 diffraction maxima, in order of falling intensity, 10 to 90 degrees two-theta:
two_theta  d/Å  Rel. int.  index
44.16  2.051  100  2 2 -1
39.56  2.278  99  0 2 3
30.83  2.901  92  0 2 0
24.85  3.583  86  1 1 -2
39.68  2.272  50  2 0 -4
39.42  2.286  49  2 0 2
22.04  4.033  49  1 1 -1
24.18  3.681  46  0 0 3
29.65  3.012  46  1 1 2
29.79  2.999  45  1 1 -3

Cell and atoms:
```
data_KRb2Li2F7
_chemical_formula_sum 'K2 Rb4 Li4 F14'
_cell_length_a 5.803
_cell_length_b 5.800
_cell_length_c 11.400
_cell_angle_alpha 90.00
_cell_angle_beta 104.38
_cell_angle_gamma 90.00
_space_group_name_H-M_alt 'C 1 2/m 1'
_space_group_IT_number 12
_space_group_name_Hall '-C 2y'
loop_
_atom_site_label
_atom_site_fract_x
_atom_site_fract_y
_atom_site_fract_z
K1 0.000 0.000 0.000
Rb1 0.182 0.000 0.362
Li1 0.093 0.500 0.184
F1 0.000 0.500 0.000
F2 0.158 0.250 0.820
F3 0.189 0.500 0.375
```


# 6
Structure and calculated powder diffraction line list of CsB2Cl6 (a structure optimized by DFT (PBE); Cu Ka).

Largest 10 diffraction maxima, in order of falling intensity, 10 to 90 degrees two-theta:
two_theta  d/Å  Rel. int.  index
12.98  6.818  100  1 1 -1
26.20  3.401  91  0 0 2
30.33  2.946  57  4 2 -2
31.54  2.837  54  0 4 1
33.06  2.710  50  4 2 0
19.83  4.477  47  3 1 -1
19.53  4.546  28  1 1 1
20.50  4.332  25  2 2 0
28.59  3.122  21  0 4 0
28.80  3.100  21  4 2 -1

Cell and atoms:
```
data_CsB2Cl6
_chemical_formula_sum 'Cs4 B8 Cl24'
_cell_length_a 14.404
_cell_length_b 12.488
_cell_length_c 8.139
_cell_angle_alpha 90.00
_cell_angle_beta 123.35
_cell_angle_gamma 90.00
_space_group_name_H-M_alt 'C 1 2/c 1'
_space_group_IT_number 15
_space_group_name_Hall '-C 2yc'
loop_
_atom_site_label
_atom_site_fract_x
_atom_site_fract_y
_atom_site_fract_z
Cs1 0.000 0.212 0.250
B1 0.233 0.454 0.734
Cl1 0.138 0.485 0.278
Cl2 0.147 0.026 0.716
Cl3 0.240 0.310 0.736
```


# 7
Structure and calculated powder diffraction line list of Rb2Bi2Sb (a structure optimized by DFT (PBE); Cu Ka).

Largest 10 diffraction maxima, in order of falling intensity, 10 to 90 degrees two-theta:
two_theta  d/Å  Rel. int.  index
13.33  6.644  100  0 1 0
29.88  2.990  93  1 1 -3
31.34  2.855  63  -2 1 1
24.04  3.701  53  1 -1 2
32.43  2.760  50  1 1 2
25.10  3.548  47  -1 1 3
25.40  3.507  44  1 -2 0
17.12  5.178  39  1 -1 0
35.87  2.504  30  0 0 5
17.42  5.091  30  1 0 0

Cell and atoms:
```
data_Rb2Bi2Sb
_chemical_formula_sum 'Rb4 Bi4 Sb2'
_cell_length_a 5.709
_cell_length_b 7.261
_cell_length_c 12.908
_cell_angle_alpha 90.60
_cell_angle_beta 102.71
_cell_angle_gamma 113.02
_space_group_name_H-M_alt 'P -1'
_space_group_IT_number 2
_space_group_name_Hall '-P 1'
loop_
_atom_site_label
_atom_site_fract_x
_atom_site_fract_y
_atom_site_fract_z
Rb1 0.088 0.268 0.407
Rb2 0.310 0.312 0.811
Bi1 0.215 0.904 0.025
Bi2 0.376 0.851 0.400
Sb1 0.437 0.135 0.236
```


# 8
Structure and calculated powder diffraction line list of KRb5H6 (a structure optimized by DFT (PBE); Cu Ka).

Largest 10 diffraction maxima, in order of falling intensity, 10 to 90 degrees two-theta:
two_theta  d/Å  Rel. int.  index
25.99  3.429  100  2 0 0
30.11  2.968  74  1 3 1
51.08  1.788  35  1 3 3
26.04  3.421  33  0 0 2
43.05  2.101  26  2 0 2
43.17  2.096  26  0 6 0
50.98  1.791  25  3 3 1
53.53  1.712  14  0 0 4
84.93  1.142  12  3 9 1
71.11  1.326  11  1 9 1

Cell and atoms:
```
data_KRb5H6
_chemical_formula_sum 'K2 Rb10 H12'
_cell_length_a 7.286
_cell_length_b 12.580
_cell_length_c 7.256
_cell_angle_alpha 90.00
_cell_angle_beta 109.43
_cell_angle_gamma 90.00
_space_group_name_H-M_alt 'C 1 2/m 1'
_space_group_IT_number 12
_space_group_name_Hall '-C 2y'
loop_
_atom_site_label
_atom_site_fract_x
_atom_site_fract_y
_atom_site_fract_z
K1 0.000 0.000 0.000
Rb1 0.000 0.166 0.500
Rb2 0.000 0.333 0.000
Rb3 0.000 0.500 0.500
H1 0.244 0.000 0.755
H2 0.245 0.163 0.246
```


# 9
Structure and calculated powder diffraction line list of CrH2W2 (a structure optimized by DFT (PBE); Cu Ka).

Largest 10 diffraction maxima, in order of falling intensity, 10 to 90 degrees two-theta:
two_theta  d/Å  Rel. int.  index
38.61  2.332  100  1 0 3
43.00  2.103  48  1 1 0
31.10  2.876  45  1 0 1
75.88  1.254  27  2 1 3
31.76  2.817  27  0 0 4
54.44  1.685  25  1 1 4
62.45  1.487  16  2 0 0
65.98  1.416  15  1 0 7
50.83  1.796  13  1 0 5
71.77  1.315  11  2 0 4

Cell and atoms:
```
data_CrH2W2
_chemical_formula_sum 'Cr2 H4 W4'
_cell_length_a 2.974
_cell_length_b 2.974
_cell_length_c 11.270
_cell_angle_alpha 90.00
_cell_angle_beta 90.00
_cell_angle_gamma 90.00
_space_group_name_H-M_alt 'I 4/m m m'
_space_group_IT_number 139
_space_group_name_Hall '-I 4 2'
loop_
_atom_site_label
_atom_site_fract_x
_atom_site_fract_y
_atom_site_fract_z
Cr1 0.000 0.000 0.000
H1 0.000 0.500 0.250
W1 0.000 0.000 0.363
```


# 10
Structure and calculated powder diffraction line list of AuSe (a structure optimized by DFT (PBE); Cu Ka).

Largest 10 diffraction maxima, in order of falling intensity, 10 to 90 degrees two-theta:
two_theta  d/Å  Rel. int.  index
23.79  3.741  100  2 0 0
42.87  2.110  97  3 0 1
25.47  3.497  77  1 0 1
28.17  3.168  52  1 1 1
49.61  1.838  50  3 2 1
35.13  2.555  25  2 1 1
51.85  1.763  25  3 3 0
38.04  2.366  25  3 1 0
52.32  1.749  24  2 0 2
26.64  3.346  23  2 1 0

Cell and atoms:
```
data_AuSe
_chemical_formula_sum 'Au4 Se4'
_cell_length_a 7.481
_cell_length_b 7.481
_cell_length_c 3.956
_cell_angle_alpha 90.00
_cell_angle_beta 90.00
_cell_angle_gamma 90.00
_space_group_name_H-M_alt 'P 42/m n m'
_space_group_IT_number 136
_space_group_name_Hall '-P 4n 2n'
loop_
_atom_site_label
_atom_site_fract_x
_atom_site_fract_y
_atom_site_fract_z
Au1 0.187 0.187 0.000
Se1 0.162 0.838 0.000
```


# 11
Structure and calculated powder diffraction line list of Ba2As7Rh12 (a structure optimized by DFT (PBE); Cu Ka).

Largest 10 diffraction maxima, in order of falling intensity, 10 to 90 degrees two-theta:
two_theta  d/Å  Rel. int.  index
35.10  2.557  100  1 2 1
43.42  2.084  22  4 -3 1
47.27  1.923  21  4 1 0
45.47  1.995  20  0 0 2
44.84  2.021  12  2 3 0
67.68  1.384  11  4 1 2
38.04  2.365  11  0 3 1
79.91  1.200  10  3 5 1
77.25  1.235  10  3 -1 3
40.97  2.203  8  4 0 0

Cell and atoms:
```
data_Ba2As7Rh12
_chemical_formula_sum 'Ba2 As7 Rh12'
_cell_length_a 10.1743
_cell_length_b 10.1743
_cell_length_c 3.9897
_cell_angle_alpha 90.00
_cell_angle_beta 90.00
_cell_angle_gamma 120.00
_space_group_name_H-M_alt 'P -3'
_space_group_IT_number 147
_space_group_name_Hall '-P 3'
loop_
_atom_site_label
_atom_site_fract_x
_atom_site_fract_y
_atom_site_fract_z
Ba1 0.3333 0.6667 0.2498
As1 0.0000 0.0000 0.0000
As2 0.1070 0.3963 0.7491
Rh1 0.0560 0.6191 0.7496
Rh2 0.1143 0.8571 0.2525
```


# 12
Structure and calculated powder diffraction line list of CrGe4Mo2 (a structure optimized by DFT (PBE); Cu Ka).

Largest 10 diffraction maxima, in order of falling intensity, 10 to 90 degrees two-theta:
two_theta  d/Å  Rel. int.  index
38.99  2.310  100  2 0 0
41.02  2.200  90  1 0 5
57.88  1.593  63  2 1 5
27.30  3.267  54  1 1 0
14.16  6.256  48  0 0 2
56.32  1.633  33  2 2 0
39.90  2.259  32  1 1 4
30.88  2.896  28  1 1 2
85.05  1.141  21  3 2 5
88.97  1.100  18  2 0 10

Cell and atoms:
```
data_CrGe4Mo2
_chemical_formula_sum 'Cr2 Ge8 Mo4'
_cell_length_a 4.620
_cell_length_b 4.620
_cell_length_c 12.512
_cell_angle_alpha 90.00
_cell_angle_beta 90.00
_cell_angle_gamma 90.00
_space_group_name_H-M_alt 'I 4/m m m'
_space_group_IT_number 139
_space_group_name_Hall '-I 4 2'
loop_
_atom_site_label
_atom_site_fract_x
_atom_site_fract_y
_atom_site_fract_z
Cr1 0.000 0.000 0.000
Ge1 0.000 0.000 0.195
Ge2 0.000 0.500 0.000
Mo1 0.000 0.000 0.400
```


Which formula does entry 11 have?
Ba2As7Rh12


Please write out number 8 again, unchanged.
Structure and calculated powder diffraction line list of KRb5H6 (a structure optimized by DFT (PBE); Cu Ka).

Largest 10 diffraction maxima, in order of falling intensity, 10 to 90 degrees two-theta:
two_theta  d/Å  Rel. int.  index
25.99  3.429  100  2 0 0
30.11  2.968  74  1 3 1
51.08  1.788  35  1 3 3
26.04  3.421  33  0 0 2
43.05  2.101  26  2 0 2
43.17  2.096  26  0 6 0
50.98  1.791  25  3 3 1
53.53  1.712  14  0 0 4
84.93  1.142  12  3 9 1
71.11  1.326  11  1 9 1

Cell and atoms:
```
data_KRb5H6
_chemical_formula_sum 'K2 Rb10 H12'
_cell_length_a 7.286
_cell_length_b 12.580
_cell_length_c 7.256
_cell_angle_alpha 90.00
_cell_angle_beta 109.43
_cell_angle_gamma 90.00
_space_group_name_H-M_alt 'C 1 2/m 1'
_space_group_IT_number 12
_space_group_name_Hall '-C 2y'
loop_
_atom_site_label
_atom_site_fract_x
_atom_site_fract_y
_atom_site_fract_z
K1 0.000 0.000 0.000
Rb1 0.000 0.166 0.500
Rb2 0.000 0.333 0.000
Rb3 0.000 0.500 0.500
H1 0.244 0.000 0.755
H2 0.245 0.163 0.246
```